[1]
BaInSb: calculated powder XRD pattern (Cu Kα (λ = 1.5418 Å)), based on a cell relaxed with GGA-PBE.
Kinematic intensities with the Lorentz-polarization factor, no thermal factor.

Structure:
```
BaInSb
1.0
12.806 0.000 0.000
0.000 5.010 0.000
-2.228 0.000 6.760
Ba In Sb
4 4 4
Cartesian
0.000 0.000 0.000 Ba
0.452 2.505 3.863 Ba
6.403 2.505 0.000 Ba
6.855 0.000 3.863 Ba
4.102 0.000 0.833 In
4.257 2.505 3.078 In
10.505 2.505 0.833 In
10.660 0.000 3.078 In
2.389 2.505 0.716 Sb
2.933 0.000 4.497 Sb
8.792 0.000 0.716 Sb
9.336 2.505 4.497 Sb
```

Main lines, in order of rising 2θ (5 to 70 degrees two-theta):
24.56 deg, I 17; 25.84 deg, I 23; 26.37 deg, I 44; 28.18 deg, I 43; 28.32 deg, I 100; 33.84 deg, I 73; 34.67 deg, I 45; 35.85 deg, I 47; 35.98 deg, I 18; 45.05 deg, I 20



[2]
Ba3Tl5In2Sb2: calculated powder XRD pattern (Cu Kα (λ = 1.5418 Å)), based on a cell relaxed with GGA-PBE.
Kinematic intensities with the Lorentz-polarization factor, no thermal factor.

Structure:
```
Ba3Tl5In2Sb2
1.0
-2.512 2.512 17.427
2.512 -2.512 17.427
2.512 2.512 -17.427
Ba Tl In Sb
3 5 2 2
Cartesian
0.000 0.000 0.000 Ba
0.000 0.000 6.682 Ba
0.000 0.000 28.171 Ba
2.512 0.000 2.676 Tl
2.512 0.000 14.751 Tl
0.000 0.000 17.427 Tl
0.000 2.512 2.676 Tl
0.000 2.512 14.751 Tl
0.000 0.000 12.886 In
0.000 0.000 21.968 In
0.000 0.000 10.133 Sb
0.000 0.000 24.721 Sb
```

Main lines, in order of rising 2θ (5 to 70 degrees two-theta):
5.07 deg, I 87; 25.58 deg, I 38; 29.47 deg, I 100; 32.52 deg, I 29; 35.74 deg, I 63; 36.09 deg, I 31; 40.10 deg, I 22; 51.44 deg, I 22; 51.69 deg, I 22; 60.39 deg, I 30